VSO4: theoretical powder diffractogram (Cu Kα (λ = 1.5418 Å)), based on a DFT-relaxed cell (PBE+U, Alexandria).

Atomic structure:
Unit cell a=8.884 b=6.909 c=4.883 alpha=90.00 beta=90.00 gamma=90.00
Fractional coordinates of all 24 atoms:
V (0.000, 0.000, 0.000)
V (0.000, 0.500, 0.000)
V (0.500, 0.000, 0.500)
V (0.500, 0.500, 0.500)
S (0.178, 0.250, 0.489)
S (0.322, 0.750, 0.989)
S (0.678, 0.250, 0.011)
S (0.822, 0.750, 0.511)
O (0.123, 0.250, 0.781)
O (0.127, 0.071, 0.355)
O (0.127, 0.429, 0.355)
O (0.152, 0.750, 0.981)
O (0.348, 0.250, 0.481)
O (0.373, 0.571, 0.855)
O (0.373, 0.929, 0.855)
O (0.377, 0.750, 0.281)
O (0.623, 0.250, 0.719)
O (0.627, 0.071, 0.145)
O (0.627, 0.429, 0.145)
O (0.652, 0.750, 0.519)
O (0.848, 0.250, 0.019)
O (0.873, 0.571, 0.645)
O (0.873, 0.929, 0.645)
O (0.877, 0.750, 0.219)

Main lines, by angle (10° ≤ 2θ ≤ 90°):
2θ/deg  I (rel.)
20.8  34
23.8  42
24.5  100
32.8  53
33.3  34
35.5  47
36.8  19
44.4  16
50.2  30
61.7  18

***

VSO5: theoretical powder diffractogram (Cu Kα (λ = 1.5418 Å)), based on a DFT-relaxed cell (PBE+U, Alexandria).

Atomic structure:
Unit cell a=11.213 b=5.198 c=6.529 alpha=90.00 beta=90.00 gamma=90.00
Fractional coordinates of all 28 atoms:
V (0.056, 0.250, 0.161)
V (0.444, 0.750, 0.661)
V (0.556, 0.250, 0.339)
V (0.944, 0.750, 0.839)
S (0.157, 0.750, 0.475)
S (0.343, 0.250, 0.975)
S (0.657, 0.750, 0.025)
S (0.843, 0.250, 0.525)
O (0.000, 0.000, 0.000)
O (0.000, 0.500, 0.000)
O (0.102, 0.750, 0.681)
O (0.122, 0.516, 0.362)
O (0.122, 0.984, 0.362)
O (0.212, 0.250, 0.999)
O (0.288, 0.750, 0.499)
O (0.378, 0.016, 0.862)
O (0.378, 0.484, 0.862)
O (0.398, 0.250, 0.181)
O (0.500, 0.000, 0.500)
O (0.500, 0.500, 0.500)
O (0.602, 0.750, 0.819)
O (0.622, 0.516, 0.138)
O (0.622, 0.984, 0.138)
O (0.712, 0.250, 0.501)
O (0.788, 0.750, 0.001)
O (0.878, 0.016, 0.638)
O (0.878, 0.484, 0.638)
O (0.898, 0.250, 0.319)

Main lines, by angle (10° ≤ 2θ ≤ 90°):
2θ/deg  I (rel.)
15.8  19
20.9  34
21.9  40
23.3  100
27.1  28
27.5  42
33.4  16
47.6  13
51.1  13
55.7  13

***

VS3O12: theoretical powder diffractogram (Cu Kα (λ = 1.5418 Å)), based on a DFT-relaxed cell (PBE+U, Alexandria).

Atomic structure:
Unit cell a=5.072 b=9.990 c=10.968 alpha=69.92 beta=80.09 gamma=79.49
Fractional coordinates of all 32 atoms:
V (0.245, 0.276, 0.203)
V (0.755, 0.724, 0.797)
S (0.152, 0.207, 0.789)
S (0.177, 0.677, 0.011)
S (0.325, 0.719, 0.617)
S (0.675, 0.281, 0.383)
S (0.823, 0.323, 0.989)
S (0.848, 0.793, 0.211)
O (0.041, 0.184, 0.686)
O (0.081, 0.272, 0.048)
O (0.092, 0.658, 0.727)
O (0.154, 0.755, 0.115)
O (0.225, 0.524, 0.071)
O (0.268, 0.110, 0.282)
O (0.283, 0.335, 0.754)
O (0.283, 0.874, 0.573)
O (0.287, 0.079, 0.877)
O (0.350, 0.648, 0.521)
O (0.403, 0.738, 0.916)
O (0.433, 0.342, 0.303)
O (0.567, 0.658, 0.697)
O (0.597, 0.262, 0.084)
O (0.650, 0.352, 0.479)
O (0.713, 0.921, 0.123)
O (0.717, 0.126, 0.427)
O (0.717, 0.665, 0.246)
O (0.732, 0.890, 0.718)
O (0.775, 0.476, 0.929)
O (0.846, 0.245, 0.885)
O (0.908, 0.342, 0.273)
O (0.919, 0.728, 0.952)
O (0.959, 0.816, 0.314)

Main lines, by angle (10° ≤ 2θ ≤ 90°):
2θ/deg  I (rel.)
10.6  48
19.0  11
19.1  100
22.1  43
23.1  20
23.5  25
24.5  10
27.1  46
28.0  17
36.3  11

***

VSO5: theoretical powder diffractogram (Cu Kα (λ = 1.5418 Å)), based on a DFT-relaxed cell (PBE+U, Alexandria).

Atomic structure:
Unit cell a=6.378 b=6.378 c=4.165 alpha=90.00 beta=90.00 gamma=90.00
Fractional coordinates of all 14 atoms:
V (0.250, 0.250, 0.117)
V (0.750, 0.750, 0.883)
S (0.250, 0.750, 0.000)
S (0.750, 0.250, 0.000)
O (0.063, 0.734, 0.789)
O (0.234, 0.937, 0.211)
O (0.250, 0.250, 0.725)
O (0.266, 0.563, 0.211)
O (0.437, 0.766, 0.789)
O (0.563, 0.234, 0.211)
O (0.734, 0.437, 0.789)
O (0.750, 0.750, 0.275)
O (0.766, 0.063, 0.789)
O (0.937, 0.266, 0.211)

Main lines, by angle (10° ≤ 2θ ≤ 90°):
2θ/deg  I (rel.)
21.3  61
25.5  29
28.0  100
35.5  41
44.9  11
45.8  28
48.1  20
57.8  14
62.4  16
69.7  14

***

WS2O8: theoretical powder diffractogram (Cu Kα (λ = 1.5418 Å)), based on a DFT-relaxed cell (PBE+U, Alexandria).

Atomic structure:
Unit cell a=7.461 b=7.461 c=9.541 alpha=120.53 beta=120.53 gamma=60.01
Fractional coordinates of all 22 atoms:
W (0.038, 0.962, 0.750)
W (0.962, 0.038, 0.250)
S (0.137, 0.680, 0.452)
S (0.320, 0.863, 0.048)
S (0.680, 0.137, 0.952)
S (0.863, 0.320, 0.548)
O (0.077, 0.238, 0.517)
O (0.092, 0.765, 0.320)
O (0.186, 0.731, 0.867)
O (0.235, 0.908, 0.180)
O (0.238, 0.077, 0.017)
O (0.246, 0.449, 0.404)
O (0.269, 0.814, 0.633)
O (0.449, 0.246, 0.904)
O (0.551, 0.754, 0.096)
O (0.731, 0.186, 0.367)
O (0.754, 0.551, 0.596)
O (0.762, 0.923, 0.983)
O (0.765, 0.092, 0.820)
O (0.814, 0.269, 0.133)
O (0.908, 0.235, 0.680)
O (0.923, 0.762, 0.483)

Main lines, by angle (10° ≤ 2θ ≤ 90°):
2θ/deg  I (rel.)
14.6  100
15.2  15
16.9  48
22.7  26
24.1  15
25.2  22
28.2  16
30.6  21
36.1  11
36.9  16

***

WS2O9: theoretical powder diffractogram (Cu Kα (λ = 1.5418 Å)), based on a DFT-relaxed cell (PBE+U, Alexandria).

Atomic structure:
Unit cell a=7.861 b=12.648 c=9.389 alpha=90.00 beta=125.13 gamma=90.00
Fractional coordinates of all 48 atoms:
W (0.167, 0.147, 0.228)
W (0.167, 0.353, 0.728)
W (0.833, 0.647, 0.272)
W (0.833, 0.853, 0.772)
S (0.033, 0.685, 0.111)
S (0.033, 0.815, 0.611)
S (0.303, 0.526, 0.636)
S (0.303, 0.974, 0.136)
S (0.697, 0.026, 0.864)
S (0.697, 0.474, 0.364)
S (0.967, 0.185, 0.389)
S (0.967, 0.315, 0.889)
O (0.013, 0.747, 0.736)
O (0.013, 0.753, 0.236)
O (0.073, 0.085, 0.381)
O (0.073, 0.415, 0.881)
O (0.118, 0.227, 0.572)
O (0.118, 0.273, 0.072)
O (0.146, 0.595, 0.492)
O (0.146, 0.905, 0.992)
O (0.238, 0.671, 0.157)
O (0.238, 0.829, 0.657)
O (0.242, 0.512, 0.767)
O (0.242, 0.988, 0.267)
O (0.258, 0.091, 0.073)
O (0.258, 0.409, 0.573)
O (0.404, 0.193, 0.398)
O (0.404, 0.307, 0.898)
O (0.489, 0.059, 0.786)
O (0.489, 0.441, 0.286)
O (0.511, 0.559, 0.714)
O (0.511, 0.941, 0.214)
O (0.596, 0.693, 0.102)
O (0.596, 0.807, 0.602)
O (0.742, 0.591, 0.427)
O (0.742, 0.909, 0.927)
O (0.758, 0.012, 0.733)
O (0.758, 0.488, 0.233)
O (0.762, 0.171, 0.343)
O (0.762, 0.329, 0.843)
O (0.854, 0.095, 0.008)
O (0.854, 0.405, 0.508)
O (0.882, 0.727, 0.928)
O (0.882, 0.773, 0.428)
O (0.927, 0.585, 0.119)
O (0.927, 0.915, 0.619)
O (0.987, 0.247, 0.764)
O (0.987, 0.253, 0.264)

Main lines, by angle (10° ≤ 2θ ≤ 90°):
2θ/deg  I (rel.)
13.8  100
15.5  44
18.2  85
18.4  23
20.2  19
23.2  20
23.7  29
26.7  15
30.6  14
32.9  17

***

ZnW2SO3: theoretical powder diffractogram (Cu Kα (λ = 1.5418 Å)), based on a DFT-relaxed cell (PBE+U, Alexandria).

Atomic structure:
Unit cell a=7.639 b=8.007 c=8.806 alpha=68.59 beta=87.42 gamma=77.92
Fractional coordinates of all 28 atoms:
Zn (0.000, 0.000, 0.000)
Zn (0.236, 0.002, 0.554)
Zn (0.500, 0.500, 0.500)
Zn (0.764, 0.998, 0.446)
W (0.014, 0.643, 0.070)
W (0.312, 0.800, 0.207)
W (0.327, 0.142, 0.947)
W (0.360, 0.504, 0.822)
W (0.640, 0.496, 0.178)
W (0.673, 0.858, 0.053)
W (0.688, 0.200, 0.793)
W (0.986, 0.357, 0.930)
S (0.065, 0.680, 0.539)
S (0.456, 0.120, 0.211)
S (0.544, 0.880, 0.789)
S (0.935, 0.320, 0.461)
O (0.083, 0.816, 0.364)
O (0.132, 0.263, 0.431)
O (0.168, 0.756, 0.648)
O (0.342, 0.995, 0.767)
O (0.369, 0.979, 0.351)
O (0.471, 0.270, 0.272)
O (0.529, 0.730, 0.728)
O (0.631, 0.021, 0.649)
O (0.658, 0.005, 0.233)
O (0.832, 0.244, 0.352)
O (0.868, 0.737, 0.569)
O (0.917, 0.184, 0.636)

Main lines, by angle (10° ≤ 2θ ≤ 90°):
2θ/deg  I (rel.)
10.8  100
16.1  37
19.0  23
20.6  35
24.8  23
29.1  26
34.6  22
35.2  26
36.1  24
37.7  24